Diffraction record for Y2Fe17CN. The X-ray powder pattern is theoretical, not measured: it uses the PBE geometry in Alexandria and Cu Ka.
Peak positions follow from Bragg's law for the DFT cell and can differ from measured ones.

Structure:
a = 6.438 Å, b = 6.468 Å, c = 6.509 Å
α = 83.66°, β = 83.51°, γ = 83.06°
Atoms (fractional coordinates):
Y1 0.161 0.151 0.159
Y2 0.839 0.849 0.841
Fe1 0.000 0.500 0.500
Fe2 0.153 0.156 0.644
Fe3 0.155 0.646 0.160
Fe4 0.211 0.788 0.502
Fe5 0.213 0.502 0.784
Fe6 0.351 0.844 0.841
Fe7 0.403 0.404 0.405
Fe8 0.498 0.218 0.782
Fe9 0.500 0.000 0.500
Fe10 0.500 0.500 0.000
Fe11 0.502 0.782 0.218
Fe12 0.597 0.596 0.595
Fe13 0.649 0.156 0.159
Fe14 0.787 0.498 0.216
Fe15 0.789 0.212 0.498
Fe16 0.845 0.354 0.840
Fe17 0.847 0.844 0.356
C1 0.000 0.500 0.000
N1 0.500 0.000 0.000

Largest 6 diffraction maxima, in order of falling intensity, 2θ from 15° to 90°:
d/Å, Position (°2θ), I/Imax, h k l
2.129, 42.46, 1000, -1 2 2
2.071, 43.71, 882, 2 2 2
2.139, 42.26, 788, 2 -2 0
2.387, 37.68, 590, 2 2 0
2.164, 41.75, 527, 0 2 -2
2.155, 41.92, 518, 2 0 -2